1.
Diffraction record for Hf2SbPd. The powder diffractogram is theoretical, not measured: it uses a structure optimized by DFT (GGA-PBE) and CuKα.

Cell and atoms:
```
Hf2SbPd
1.0
5.6328 0.0000 0.0000
0.0000 4.0039 0.0000
-2.7222 0.0000 7.4110
Hf Sb Pd
4 2 2
direct
0.1896 0.2500 0.4163
0.2574 0.7500 0.0676
0.7426 0.2500 0.9324
0.8104 0.7500 0.5837
0.3819 0.7500 0.7036
0.6181 0.2500 0.2964
0.1337 0.2500 0.8078
0.8663 0.7500 0.1921
```

Peak list (10 most intense, 5 to 70 degrees two-theta, by intensity)
| Position (°2θ) | intensity |
| --- | --- |
| 32.94 | 100.0 |
| 32.78 | 75.5 |
| 34.20 | 47.4 |
| 40.91 | 42.8 |
| 45.30 | 38.8 |
| 41.16 | 38.0 |
| 41.30 | 36.2 |
| 45.58 | 34.8 |
| 33.91 | 24.8 |
| 66.21 | 22.8 |

2.
Diffraction record for Y8HoTm3. The powder diffractogram is theoretical, not measured: it uses a structure optimized by DFT (GGA-PBE) and CuKα.

Cell and atoms:
```
Y8HoTm3
1.0
3.4689 -5.7734 0.0000
3.4689 5.7734 0.0000
0.0000 0.0000 9.8489
Y Ho Tm
8 1 3
direct
0.2490 0.7510 0.1877
0.2490 0.7510 0.8123
0.2500 0.2500 0.3129
0.2500 0.2500 0.6871
0.7500 0.7500 0.3129
0.7500 0.7500 0.6871
0.7510 0.2490 0.1877
0.7510 0.2490 0.8123
0.5000 0.5000 0.0000
0.0000 0.0000 0.0000
0.0000 0.5000 0.5000
0.5000 0.0000 0.5000
```

Peak list (10 most intense, 5 to 70 degrees two-theta, by intensity)
| Position (°2θ) | intensity |
| --- | --- |
| 35.26 | 100.0 |
| 31.34 | 88.5 |
| 27.26 | 63.3 |
| 30.98 | 49.5 |
| 41.73 | 40.2 |
| 17.81 | 28.2 |
| 62.68 | 23.8 |
| 57.91 | 23.6 |
| 63.11 | 23.2 |
| 53.50 | 19.2 |

3.
Diffraction record for Cs5USe4. The powder diffractogram is theoretical, not measured: it uses a structure optimized by DFT (GGA-PBE) and CuKα.

Cell and atoms:
```
Cs5USe4
1.0
10.7150 -2.3078 0.0000
10.7150 2.3078 0.0000
-1.6783 0.0000 9.7306
Cs U Se
5 1 4
direct
0.0000 0.0000 0.0000
0.3271 0.3271 0.6613
0.3445 0.3445 0.1809
0.6555 0.6555 0.8191
0.6729 0.6729 0.3387
0.0000 0.0000 0.5000
0.1333 0.1333 0.5638
0.4942 0.4942 0.6930
0.5058 0.5058 0.3070
0.8667 0.8667 0.4362
```

Peak list (10 most intense, 5 to 70 degrees two-theta, by intensity)
| Position (°2θ) | intensity |
| --- | --- |
| 26.46 | 100.0 |
| 25.30 | 46.1 |
| 9.09 | 44.2 |
| 23.04 | 34.9 |
| 37.73 | 32.3 |
| 8.37 | 31.2 |
| 36.13 | 31.0 |
| 21.38 | 28.3 |
| 22.65 | 19.9 |
| 39.03 | 18.8 |

4.
Diffraction record for AsRuSe. The powder diffractogram is theoretical, not measured: it uses a structure optimized by DFT (GGA-PBE) and CuKα.

Cell and atoms:
```
AsRuSe
1.0
6.1601 0.0000 0.0000
0.0000 6.1279 0.0000
-2.4500 0.0000 5.7486
As Ru Se
4 4 4
direct
0.1489 0.0000 0.1266
0.3452 0.5058 0.4267
0.6548 0.0058 0.5733
0.8511 0.5000 0.8734
0.2742 0.8643 0.5423
0.2758 0.3645 0.0432
0.7242 0.8645 0.9568
0.7258 0.3643 0.4577
0.1537 0.2444 0.6217
0.3394 0.7392 0.9339
0.6606 0.2392 0.0661
0.8463 0.7444 0.3783
```

Peak list (10 most intense, 5 to 70 degrees two-theta, by intensity)
| Position (°2θ) | intensity |
| --- | --- |
| 34.00 | 100.0 |
| 31.58 | 71.2 |
| 52.16 | 64.1 |
| 46.76 | 62.1 |
| 22.49 | 61.2 |
| 31.12 | 60.2 |
| 34.89 | 51.5 |
| 34.47 | 47.8 |
| 46.10 | 47.1 |
| 47.88 | 38.2 |